Entry 1:
Diffraction record for Cs3Sm3RhO8. The X-ray diffraction stick pattern is theoretical, not measured: it uses a structure optimized by DFT (GGA-PBE) and CuKα.
No peak broadening, texture or thermal motion is included.

Most intense lines, 2θ from 10° to 90°, sorted by position:
- 2θ = 12.77°, d 6.934, rel. 20
- 2θ = 25.69°, d 3.467, rel. 51
- 2θ = 30.59°, d 2.923, rel. 83
- 2θ = 34.12°, d 2.628, rel. 100
- 2θ = 45.89°, d 1.978, rel. 36
- 2θ = 52.01°, d 1.758, rel. 31
- 2θ = 53.33°, d 1.718, rel. 25
- 2θ = 58.90°, d 1.568, rel. 31

Structure:
a b c (Å): 8.0357 8.0357 8.0357
angles (deg): 51.90 51.90 51.90
Positions (direct):
1 Cs 0.0000 0.5000 0.5000
2 Cs 0.5000 0.0000 0.5000
3 Cs 0.5000 0.5000 0.0000
4 Sm 0.0000 0.0000 0.5000
5 Sm 0.0000 0.5000 0.0000
6 Sm 0.5000 0.0000 0.0000
7 Rh 0.5000 0.5000 0.5000
8 O 0.2217 0.2217 0.2217
9 O 0.2497 0.7033 0.7033
10 O 0.2967 0.2967 0.7503
11 O 0.2967 0.7503 0.2967
12 O 0.7033 0.2497 0.7033
13 O 0.7033 0.7033 0.2497
14 O 0.7503 0.2967 0.2967
15 O 0.7783 0.7783 0.7783

---

Entry 2:
Diffraction record for CsRu2O6. The X-ray diffraction stick pattern is theoretical, not measured: it uses a structure optimized by DFT (GGA-PBE) and CuKα.
No peak broadening, texture or thermal motion is included.

Most intense lines, 2θ from 10° to 90°, sorted by position:
- 2θ = 24.59°, d 3.620, rel. 24
- 2θ = 28.92°, d 3.087, rel. 100
- 2θ = 30.24°, d 2.956, rel. 32
- 2θ = 46.06°, d 1.971, rel. 32
- 2θ = 50.42°, d 1.810, rel. 36
- 2θ = 59.17°, d 1.561, rel. 14
- 2θ = 59.92°, d 1.544, rel. 13
- 2θ = 70.66°, d 1.333, rel. 23

Structure:
a b c (Å): 7.2403 7.2403 7.2403
angles (deg): 60.00 60.00 60.00
Positions (direct):
1 Cs 0.1250 0.1250 0.1250
2 Cs 0.8750 0.8750 0.8750
3 Ru 0.0000 0.5000 0.5000
4 Ru 0.5000 0.0000 0.5000
5 Ru 0.5000 0.5000 0.0000
6 Ru 0.5000 0.5000 0.5000
7 O 0.1852 0.1852 0.5648
8 O 0.1852 0.5648 0.1852
9 O 0.1852 0.5648 0.5648
10 O 0.4352 0.4352 0.8148
11 O 0.4352 0.8148 0.4352
12 O 0.4352 0.8148 0.8148
13 O 0.5648 0.1852 0.1852
14 O 0.5648 0.1852 0.5648
15 O 0.5648 0.5648 0.1852
16 O 0.8148 0.4352 0.4352
17 O 0.8148 0.4352 0.8148
18 O 0.8148 0.8148 0.4352